Starting from a GGA-PBE-relaxed structure, the X-ray diffraction stick pattern of TiZnAsO5 was simulated for Cu Ka.
Intensities are scaled so that the largest is 100.

Top 8 peaks for 2θ from 5° to 70°, sorted by position:
21.00°, intensity 43; 21.91°, intensity 32; 26.39°, intensity 100; 28.43°, intensity 45; 33.11°, intensity 52; 33.44°, intensity 45; 33.88°, intensity 42; 36.63°, intensity 37

Cell and atoms:
Unit cell a=6.096 b=8.115 c=8.516 alpha=90.00 beta=90.00 gamma=90.00
Fractional coordinates of all 32 atoms:
Ti1 0.240 0.247 0.006
Ti2 0.260 0.753 0.506
Ti3 0.740 0.253 0.994
Ti4 0.760 0.747 0.494
Zn1 0.053 0.816 0.185
Zn2 0.447 0.184 0.685
Zn3 0.553 0.684 0.815
Zn4 0.947 0.316 0.315
As1 0.012 0.902 0.822
As2 0.488 0.098 0.322
As3 0.512 0.598 0.178
As4 0.988 0.402 0.678
O1 0.001 0.364 0.100
O2 0.011 0.598 0.589
O3 0.051 0.759 0.970
O4 0.229 0.362 0.784
O5 0.237 0.907 0.694
O6 0.263 0.093 0.194
O7 0.271 0.638 0.284
O8 0.449 0.241 0.470
O9 0.489 0.402 0.089
O10 0.499 0.636 0.600
O11 0.501 0.136 0.900
O12 0.511 0.902 0.411
O13 0.551 0.741 0.030
O14 0.729 0.138 0.216
O15 0.737 0.593 0.306
O16 0.763 0.407 0.806
O17 0.771 0.862 0.716
O18 0.949 0.259 0.530
O19 0.989 0.098 0.911
O20 0.999 0.864 0.400

---

Starting from a GGA-PBE-relaxed structure, the X-ray diffraction stick pattern of TlAsO4 was simulated for Cu Ka.
Intensities are scaled so that the largest is 100.

Top 8 peaks for 2θ from 5° to 70°, sorted by position:
19.28°, intensity 22; 29.44°, intensity 100; 30.17°, intensity 19; 35.96°, intensity 21; 47.62°, intensity 30; 51.76°, intensity 12; 53.13°, intensity 20; 60.67°, intensity 26

Cell and atoms:
Unit cell a=6.898 b=6.898 c=6.898 alpha=137.54 beta=137.54 gamma=61.61
Fractional coordinates of all 12 atoms:
Tl1 0.375 0.125 0.250
Tl2 0.625 0.875 0.750
As1 0.125 0.375 0.750
As2 0.875 0.625 0.250
O1 0.046 0.202 0.343
O2 0.203 0.546 0.344
O3 0.298 0.141 0.844
O4 0.359 0.703 0.157
O5 0.641 0.297 0.843
O6 0.702 0.859 0.156
O7 0.797 0.454 0.656
O8 0.954 0.798 0.657

---

Starting from a GGA-PBE-relaxed structure, the X-ray diffraction stick pattern of TlAsO4 was simulated for Cu Ka.
Intensities are scaled so that the largest is 100.

Top 8 peaks for 2θ from 5° to 70°, sorted by position:
24.76°, intensity 38; 26.26°, intensity 21; 26.93°, intensity 100; 32.34°, intensity 15; 41.00°, intensity 21; 41.20°, intensity 17; 45.44°, intensity 26; 53.91°, intensity 15

Cell and atoms:
Unit cell a=4.819 b=4.802 c=14.382 alpha=90.00 beta=90.38 gamma=90.00
Fractional coordinates of all 24 atoms:
Tl1 0.236 0.018 0.147
Tl2 0.236 0.482 0.647
Tl3 0.764 0.518 0.353
Tl4 0.764 0.982 0.853
As1 0.260 0.018 0.385
As2 0.260 0.482 0.885
As3 0.740 0.518 0.115
As4 0.740 0.982 0.615
O1 0.044 0.244 0.444
O2 0.044 0.256 0.944
O3 0.054 0.663 0.805
O4 0.054 0.837 0.305
O5 0.457 0.211 0.307
O6 0.457 0.289 0.807
O7 0.467 0.721 0.941
O8 0.467 0.779 0.441
O9 0.533 0.221 0.559
O10 0.533 0.279 0.059
O11 0.543 0.711 0.193
O12 0.543 0.789 0.693
O13 0.946 0.163 0.695
O14 0.946 0.337 0.195
O15 0.956 0.744 0.056
O16 0.956 0.756 0.556

---

Starting from a GGA-PBE-relaxed structure, the X-ray diffraction stick pattern of TmAs2O2 was simulated for Cu Ka.
Intensities are scaled so that the largest is 100.

Top 8 peaks for 2θ from 5° to 70°, sorted by position:
10.94°, intensity 100; 19.64°, intensity 12; 23.08°, intensity 20; 26.53°, intensity 29; 34.52°, intensity 21; 35.45°, intensity 16; 38.38°, intensity 10; 45.26°, intensity 9

Cell and atoms:
Unit cell a=10.225 b=10.225 c=10.225 alpha=124.61 beta=124.61 gamma=82.18
Fractional coordinates of all 20 atoms:
Tm1 0.000 0.000 0.000
Tm2 0.000 0.000 0.500
Tm3 0.000 0.500 0.000
Tm4 0.500 0.000 0.500
As1 0.163 0.241 0.921
As2 0.180 0.759 0.421
As3 0.241 0.163 0.421
As4 0.241 0.820 0.079
As5 0.759 0.180 0.921
As6 0.759 0.837 0.579
As7 0.820 0.241 0.579
As8 0.837 0.759 0.079
O1 0.131 0.136 0.994
O2 0.136 0.131 0.494
O3 0.136 0.642 0.006
O4 0.358 0.864 0.494
O5 0.642 0.136 0.506
O6 0.864 0.358 0.994
O7 0.864 0.869 0.506
O8 0.869 0.864 0.006